[1]
Diffraction record for Cs2CaCd2S4. The powder diffractogram is calculated, not measured: it uses DFT lattice parameters and positions (GGA-PBE) and Cu Kα, 1.54184 Å.

Most intense lines, 10 to 80 degrees two-theta, in order of falling intensity:
2theta  I_rel  index
31.56  100  3 1 1
27.33  78  3 1 -1
22.87  74  0 0 2
25.30  66  1 1 1
30.32  60  1 1 -2
48.81  46  3 1 3
27.12  45  4 0 -2
13.46  44  2 0 -1

Structure:
Lattice parameters (Å, degrees): 16.221 4.267 8.169 90.00 107.79 90.00
Space group C2/m (No. 12)
One atom of each set of equivalent atoms:
Cs1 0.126 0.000 0.042
Ca1 0.000 0.000 0.500
Cd1 0.168 0.500 0.478
S1 0.018 0.500 0.277
S2 0.203 0.000 0.669

[2]
Diffraction record for Cs2CaCdSb2. The powder diffractogram is calculated, not measured: it uses DFT lattice parameters and positions (GGA-PBE) and Cu Kα, 1.54184 Å.

Most intense lines, 10 to 80 degrees two-theta, in order of falling intensity:
2theta  I_rel  index
26.21  100  1 4 1
34.20  52  2 0 2
31.16  25  0 4 2
31.55  24  2 4 0
43.29  23  1 4 3
43.88  20  3 4 1
23.75  19  0 0 2
44.07  17  1 8 1

Structure:
Lattice parameters (Å, degrees): 7.341 17.869 7.494 90.00 90.00 90.00
Space group Ibam (No. 72)
One atom of each set of equivalent atoms:
Cs1 0.237 0.176 0.000
Ca1 0.000 0.500 0.250
Cd1 0.000 0.000 0.250
Sb1 0.236 0.092 0.500

[3]
Diffraction record for Ca12CdCu5. The powder diffractogram is calculated, not measured: it uses DFT lattice parameters and positions (GGA-PBE) and Cu Kα, 1.54184 Å.

Most intense lines, 10 to 80 degrees two-theta, in order of falling intensity:
2theta  I_rel  index
30.33  100  2 2 2
32.80  78  1 3 2
31.97  67  2 1 3
18.03  41  2 0 0
33.49  40  2 3 1
36.53  37  4 0 0
33.70  29  3 2 1
16.32  27  0 0 2

Structure:
Lattice parameters (Å, degrees): 9.839 10.005 10.862 90.00 90.00 90.00
Space group Immm (No. 71)
One atom of each set of equivalent atoms:
Ca1 0.000 0.192 0.230
Ca2 0.196 0.500 0.175
Ca3 0.218 0.318 0.500
Cd1 0.000 0.000 0.500
Cu1 0.000 0.000 0.000
Cu2 0.000 0.369 0.000
Cu3 0.000 0.500 0.386

[4]
Diffraction record for Ca4CdCu3. The powder diffractogram is calculated, not measured: it uses DFT lattice parameters and positions (GGA-PBE) and Cu Kα, 1.54184 Å.

Most intense lines, 10 to 80 degrees two-theta, in order of falling intensity:
2theta  I_rel  index
38.26  100  1 1 3
30.75  94  1 1 1
38.05  56  0 1 4
15.65  52  0 0 2
22.53  52  1 0 1
31.84  41  1 0 3
42.01  33  0 2 0
42.97  31  2 0 0

Structure:
Lattice parameters (Å, degrees): 4.210 4.301 11.325 90.00 90.00 90.00
Space group Pmm2 (No. 25)
One atom of each set of equivalent atoms:
Ca1 0.000 0.000 0.000
Ca2 0.000 0.500 0.269
Ca3 0.500 0.000 0.476
Ca4 0.500 0.500 0.787
Cd1 0.000 0.000 0.698
Cu1 0.000 0.500 0.551
Cu2 0.500 0.000 0.190
Cu3 0.500 0.500 0.075

[5]
Diffraction record for CaNdCdCu. The powder diffractogram is calculated, not measured: it uses DFT lattice parameters and positions (GGA-PBE) and Cu Kα, 1.54184 Å.

Most intense lines, 10 to 80 degrees two-theta, in order of falling intensity:
2theta  I_rel  index
34.11  100  2 2 0
61.07  35  4 2 2
20.70  21  1 1 1
49.02  17  4 0 0
40.24  12  3 1 1
71.84  11  4 4 0
53.75  5  3 3 1
65.21  4  5 1 1

Structure:
Lattice parameters (Å, degrees): 7.434 7.434 7.434 90.00 90.00 90.00
Space group F-43m (No. 216)
One atom of each set of equivalent atoms:
Ca1 0.000 0.000 0.000
Nd1 0.000 0.000 0.500
Cd1 0.250 0.250 0.250
Cu1 0.250 0.250 0.750

[6]
Diffraction record for CaCd2CuO4. The powder diffractogram is calculated, not measured: it uses DFT lattice parameters and positions (GGA-PBE) and Cu Kα, 1.54184 Å.

Most intense lines, 10 to 80 degrees two-theta, in order of falling intensity:
2theta  I_rel  index
39.70  100  1 3 2
32.35  74  1 1 2
31.88  48  0 4 0
17.52  42  0 2 1
41.82  40  0 2 5
30.56  34  0 0 4
27.85  29  0 2 3
15.14  24  0 0 2

Structure:
Lattice parameters (Å, degrees): 3.272 11.227 11.702 90.00 90.00 90.00
Space group Cmcm (No. 63)
One atom of each set of equivalent atoms:
Ca1 0.000 0.127 0.250
Cd1 0.000 0.369 0.043
Cu1 0.000 0.135 0.750
O1 0.000 0.000 0.000
O2 0.000 0.265 0.630
O3 0.000 0.466 0.250